Sr2DyHg6: theoretical powder diffraction line list (Cu Kα X-rays), based on the PBE geometry in Alexandria.

Atomic structure:
a = 6.9469 Å, b = 6.9469 Å, c = 6.3153 Å
α = 90.00°, β = 90.00°, γ = 120.00°
Space group P-3m1 (No. 164)
Inequivalent atoms, fractional coordinates:
1 Sr 0.3333 0.6667 0.3426 (multiplicity 2)
2 Dy 0.0000 0.0000 0.5000 (multiplicity 1)
3 Hg 0.1832 0.3664 0.8249 (multiplicity 6)

Principal peaks in the range 2θ = 10–90°, in order of rising 2θ:
(hkl)  d/Å  2theta  Rel. int.
0 1 1  4.356  20.39  20
1 1 1  3.043  29.35  21
2 0 0  3.008  29.70  14
1 0 2  2.796  32.01  25
0 2 1  2.716  32.98  100
2 1 0  2.274  39.64  15
2 0 2  2.178  41.46  34
2 2 0  1.737  52.71  22
2 1 3  1.545  59.88  16
4 0 1  1.463  63.59  12

---

ZrCd5: theoretical powder diffraction line list (Cu Kα X-rays), based on the PBE geometry in Alexandria.

Atomic structure:
a = 12.016 Å, b = 2.957 Å, c = 8.549 Å
α = 90.00°, β = 117.67°, γ = 90.00°
Space group Cm (No. 8)
Inequivalent atoms, fractional coordinates:
1 Zr 0.000 0.000 0.000 (multiplicity 2)
2 Cd 0.216 0.500 0.322 (multiplicity 2)
3 Cd 0.216 0.500 0.954 (multiplicity 2)
4 Cd 0.280 0.000 0.676 (multiplicity 2)
5 Cd 0.450 0.000 0.285 (multiplicity 2)
6 Cd 0.496 0.500 0.624 (multiplicity 2)

Principal peaks in the range 2θ = 10–90°, in order of rising 2θ:
(hkl)  d/Å  2theta  Rel. int.
4 0 0  2.660  33.69  66
1 1 1  2.563  35.01  51
0 0 3  2.524  35.57  76
4 0 -3  2.500  35.92  71
1 1 -2  2.426  37.06  100
3 1 -1  2.379  37.82  46
3 1 0  2.271  39.69  52
5 1 -2  1.858  49.03  24
5 1 -5  1.439  64.80  24
1 1 -5  1.412  66.19  22